1.
PaIrS4: computed powder diffraction line list (a wavelength of 1.5418 Å), based on a PBE-relaxed structure.
Kinematic intensities with the Lorentz-polarization factor, no thermal factor.

a b c (Å): 6.1504 6.1504 7.3150
angles (deg): 90.00 90.00 102.57
Positions (direct):
Pa 0.0000 0.5000 0.0000
Pa 0.5000 0.0000 0.5000
Ir 0.0000 0.0000 0.2500
Ir 0.0000 0.0000 0.7500
S 0.1833 0.2257 0.5000
S 0.2257 0.1833 0.0000
S 0.2536 0.7464 0.2500
S 0.2536 0.7464 0.7500
S 0.7464 0.2536 0.2500
S 0.7464 0.2536 0.7500
S 0.7743 0.8167 0.0000
S 0.8167 0.7743 0.5000

Most intense lines, 2θ from 5° to 70°, by angle:
| Position (°2θ) | I/Imax |
| --- | --- |
| 14.76 | 84 |
| 19.13 | 100 |
| 28.58 | 23 |
| 29.77 | 31 |
| 30.26 | 16 |
| 30.74 | 27 |
| 32.69 | 36 |
| 33.82 | 77 |
| 37.48 | 29 |
| 38.36 | 18 |
| 39.91 | 16 |
| 51.36 | 45 |

2.
Y8Co3Ag2: computed powder diffraction line list (a wavelength of 1.5418 Å), based on a PBE-relaxed structure.
Kinematic intensities with the Lorentz-polarization factor, no thermal factor.

a b c (Å): 8.6631 4.7671 8.6699
angles (deg): 90.00 112.38 90.00
Positions (direct):
Y 0.1107 0.0000 0.3887
Y 0.1411 0.5000 0.8663
Y 0.3652 0.5000 0.6411
Y 0.3870 0.0000 0.1135
Y 0.6130 0.0000 0.8865
Y 0.6348 0.5000 0.3589
Y 0.8589 0.5000 0.1337
Y 0.8893 0.0000 0.6113
Co 0.2517 0.0000 0.7520
Co 0.5000 0.5000 0.0000
Co 0.7483 0.0000 0.2480
Ag 0.2460 0.5000 0.2544
Ag 0.7540 0.5000 0.7456

Most intense lines, 2θ from 5° to 70°, by angle:
| Position (°2θ) | I/Imax |
| --- | --- |
| 22.19 | 12 |
| 22.37 | 12 |
| 26.29 | 10 |
| 36.40 | 100 |
| 37.29 | 25 |
| 37.74 | 24 |
| 50.71 | 8 |
| 54.10 | 16 |
| 64.61 | 7 |
| 64.91 | 7 |
| 66.67 | 16 |
| 67.27 | 15 |